The following is a theoretical X-ray diffraction stick pattern of Hf4VSn2. It was derived from a DFT-relaxed cell (PBE, Alexandria), using Cu Ka.

Main lines, by angle (10° ≤ 2θ ≤ 90°):
- 11.49°, I 18.9, (0 0 2)
- 27.21°, I 18.0, (1 1 0)
- 29.62°, I 100.0, (1 1 2)
- 34.95°, I 69.7, (0 0 6)
- 35.98°, I 84.2, (1 1 4)
- 38.86°, I 80.7, (2 0 0)
- 53.25°, I 67.1, (2 0 6)
- 56.12°, I 28.0, (2 2 0)
- 64.74°, I 22.5, (3 1 2)
- 67.85°, I 28.3, (2 2 6)
- 68.49°, I 27.0, (3 1 4)
- 83.25°, I 12.7, (2 1 11)

Atomic structure:
Unit cell a=4.6351 b=4.6351 c=15.4070 alpha=90.00 beta=90.00 gamma=90.00
Atoms (fractional coordinates):
1 Hf 0.0000 0.0000 0.1736
2 Hf 0.0000 0.0000 0.8264
3 Hf 0.0000 0.5000 0.0000
4 Hf 0.0000 0.5000 0.5000
5 Hf 0.5000 0.0000 0.0000
6 Hf 0.5000 0.0000 0.5000
7 Hf 0.5000 0.5000 0.3264
8 Hf 0.5000 0.5000 0.6736
9 V 0.0000 0.0000 0.0000
10 V 0.5000 0.5000 0.5000
11 Sn 0.0000 0.0000 0.3601
12 Sn 0.0000 0.0000 0.6399
13 Sn 0.5000 0.5000 0.1399
14 Sn 0.5000 0.5000 0.8601


The following is a theoretical X-ray diffraction stick pattern of K2TaH2O6. It was derived from a DFT-relaxed cell (PBE, Alexandria), using Cu Ka.

Main lines, by angle (10° ≤ 2θ ≤ 90°):
- 14.69°, I 34.2, (0 0 1)
- 19.65°, I 40.0, (1 0 0)
- 24.63°, I 100.0, (0 1 1)
- 34.39°, I 26.3, (1 1 0)
- 35.81°, I 36.8, (1 0 2)
- 37.58°, I 11.1, (1 1 1)
- 42.76°, I 27.5, (2 0 1)
- 46.02°, I 14.5, (1 1 2)
- 50.50°, I 16.5, (0 2 2)
- 55.98°, I 22.5, (1 2 1)
- 57.94°, I 15.7, (1 1 3)
- 62.52°, I 11.8, (2 1 2)

Atomic structure:
Unit cell a=5.2157 b=5.2157 c=6.0285 alpha=90.00 beta=90.00 gamma=120.00
Atoms (fractional coordinates):
1 K 0.3333 0.6667 0.3565
2 K 0.6667 0.3333 0.6435
3 Ta 0.0000 0.0000 0.0000
4 H 0.3333 0.6667 0.8127
5 H 0.6667 0.3333 0.1873
6 O 0.1786 0.3573 0.8045
7 O 0.1786 0.8214 0.8045
8 O 0.3573 0.1786 0.1955
9 O 0.6427 0.8214 0.8045
10 O 0.8214 0.1786 0.1955
11 O 0.8214 0.6427 0.1955


The following is a theoretical X-ray diffraction stick pattern of AcPbS2O8. It was derived from a DFT-relaxed cell (PBE, Alexandria), using Cu Ka.

Main lines, by angle (10° ≤ 2θ ≤ 90°):
- 17.31°, I 100.0, (1 0 0)
- 20.75°, I 15.1, (1 0 1)
- 28.79°, I 91.6, (1 0 2)
- 30.21°, I 51.1, (1 1 0)
- 35.03°, I 15.0, (2 0 0)
- 38.21°, I 35.1, (1 1 2)
- 42.23°, I 38.1, (2 0 2)
- 46.92°, I 22.3, (2 1 0)
- 50.11°, I 16.3, (0 1 4)
- 52.80°, I 30.1, (1 2 2)
- 56.58°, I 17.1, (1 1 4)
- 70.55°, I 15.5, (3 1 2)

Atomic structure:
Unit cell a=5.9159 b=5.9159 c=7.7896 alpha=90.00 beta=90.00 gamma=120.00
Atoms (fractional coordinates):
1 Ac 0.0000 0.0000 0.0000
2 Pb 0.0000 0.0000 0.5000
3 S 0.3333 0.6667 0.7441
4 S 0.6667 0.3333 0.2559
5 O 0.1966 0.3932 0.8129
6 O 0.1966 0.8034 0.8129
7 O 0.3333 0.6667 0.5561
8 O 0.3932 0.1966 0.1871
9 O 0.6068 0.8034 0.8129
10 O 0.6667 0.3333 0.4439
11 O 0.8034 0.1966 0.1871
12 O 0.8034 0.6068 0.1871